Record 1
Calculated powder XRD pattern
Compound: Y2Ga4Co5
Radiation: Cu Kα
Structure: a cell relaxed with PBE
Lines closer than 0.1° are merged.

Crystal structure
```
Y2Ga4Co5
1.0
0.0000 4.5397 7.1387
2.6953 0.0000 7.1387
2.6953 4.5397 0.0000
Y Ga Co
2 4 5
Direct
0.1276 0.1276 0.8724
0.8724 0.8724 0.1276
0.2119 0.5276 0.4724
0.4724 0.7881 0.2119
0.5276 0.2119 0.7881
0.7881 0.4724 0.5276
0.0000 0.0000 0.5000
0.2500 0.2500 0.2500
0.5000 0.5000 0.0000
0.5000 0.5000 0.5000
0.7500 0.7500 0.7500
```

Peak list (6 most intense, 2θ = 5–70°, low angle first)
Position (°2θ), d [Å], Rel. int.
34.56, 2.595, 54
38.86, 2.318, 40
39.03, 2.308, 100
42.01, 2.151, 99
46.88, 1.938, 40
51.19, 1.785, 40

Record 2
Calculated powder XRD pattern
Compound: Ce3Hg2
Radiation: Cu Kα
Structure: a cell relaxed with PBE
Lines closer than 0.1° are merged.

Crystal structure
```
Ce3Hg2
1.0
0.0000 8.0788 2.8309
5.7677 0.0000 2.8309
5.7677 8.0788 0.0000
Ce Hg
6 4
Direct
0.0000 0.0000 0.0000
0.2500 0.2500 0.2500
0.4802 0.7802 0.3134
0.7802 0.4802 0.4262
0.8238 0.9366 0.4698
0.9366 0.8238 0.7698
0.2274 0.5467 0.8657
0.3843 0.8898 0.0226
0.5467 0.2274 0.3602
0.8898 0.3843 0.7033
```

Peak list (6 most intense, 2θ = 5–70°, low angle first)
Position (°2θ), d [Å], Rel. int.
31.01, 2.884, 19
32.70, 2.739, 46
32.84, 2.727, 100
32.98, 2.716, 35
35.32, 2.541, 49
39.76, 2.267, 34

Record 3
Calculated powder XRD pattern
Compound: MgZn2Pt
Radiation: Cu Kα
Structure: a cell relaxed with PBE
Lines closer than 0.1° are merged.

Crystal structure
```
MgZn2Pt
1.0
3.0035 0.0000 0.0000
0.0000 3.5450 0.0000
0.0000 0.0000 5.8926
Mg Zn Pt
1 2 1
Direct
0.0000 0.0000 0.0000
0.0000 0.0000 0.4861
0.5000 0.5000 0.7176
0.5000 0.5000 0.2466
```

Peak list (6 most intense, 2θ = 5–70°, low angle first)
Position (°2θ), d [Å], Rel. int.
15.04, 5.893, 77
25.12, 3.545, 34
39.32, 2.292, 100
39.78, 2.266, 95
43.00, 2.103, 76
69.33, 1.355, 36